# NbV3Cu2P6O24
Calculated powder diffractogram, copper Kα. Input: DFT lattice parameters and positions (PBE+U).
Peak positions follow from Bragg's law for the DFT cell and can differ from measured ones.

Top 12 peaks for 2θ from 10° to 80°, by intensity:
- 20.42°, I = 100
- 23.99°, I = 86
- 32.53°, I = 77
- 55.93°, I = 42
- 35.76°, I = 41
- 46.66°, I = 32
- 49.11°, I = 25
- 62.20°, I = 22
- 25.08°, I = 17
- 31.71°, I = 15
- 64.24°, I = 13
- 41.49°, I = 12

Lattice parameters (Å, degrees): 8.707 8.707 8.707 59.92 59.92 59.92
Atoms (fractional coordinates):
Nb (0.000, 0.000, 0.000)
V (0.217, 0.217, 0.217)
V (0.501, 0.501, 0.501)
V (0.716, 0.716, 0.716)
Cu (0.359, 0.359, 0.359)
Cu (0.856, 0.856, 0.856)
P (0.111, 0.818, 0.405)
P (0.327, 0.601, 0.898)
P (0.405, 0.111, 0.818)
P (0.601, 0.898, 0.327)
P (0.818, 0.405, 0.111)
P (0.898, 0.327, 0.601)
O (0.057, 0.859, 0.237)
O (0.090, 0.301, 0.440)
O (0.134, 0.770, 0.919)
O (0.162, 0.983, 0.363)
O (0.237, 0.057, 0.859)
O (0.276, 0.628, 0.418)
O (0.301, 0.440, 0.090)
O (0.358, 0.553, 0.735)
O (0.363, 0.162, 0.983)
O (0.418, 0.276, 0.628)
O (0.440, 0.090, 0.301)
O (0.484, 0.661, 0.862)
O (0.553, 0.735, 0.358)
O (0.591, 0.942, 0.799)
O (0.628, 0.418, 0.276)
O (0.661, 0.862, 0.484)
O (0.735, 0.358, 0.553)
O (0.770, 0.919, 0.134)
O (0.799, 0.591, 0.942)
O (0.859, 0.237, 0.057)
O (0.862, 0.484, 0.661)
O (0.919, 0.134, 0.770)
O (0.942, 0.799, 0.591)
O (0.983, 0.363, 0.162)

# Sr5Nd5CuNi4O20
Calculated powder diffractogram, copper Kα. Input: DFT lattice parameters and positions (PBE+U).
Peak positions follow from Bragg's law for the DFT cell and can differ from measured ones.

Top 12 peaks for 2θ from 10° to 80°, by intensity:
- 32.90°, I = 100
- 32.75°, I = 91
- 31.57°, I = 79
- 30.78°, I = 74
- 31.33°, I = 72
- 31.80°, I = 71
- 47.33°, I = 51
- 46.88°, I = 46
- 58.12°, I = 36
- 42.73°, I = 31
- 24.20°, I = 29
- 28.11°, I = 26

Lattice parameters (Å, degrees): 3.841 6.846 18.846 84.21 84.55 74.04
Atoms (fractional coordinates):
Sr (0.000, 0.000, 0.000)
Sr (0.023, 0.780, 0.190)
Sr (0.207, 0.107, 0.362)
Sr (0.250, 0.909, 0.554)
Sr (0.977, 0.212, 0.806)
Nd (0.256, 0.715, 0.748)
Nd (0.268, 0.508, 0.942)
Nd (0.302, 0.286, 0.137)
Nd (0.959, 0.607, 0.419)
Nd (0.973, 0.406, 0.612)
Cu (0.617, 0.451, 0.280)
Ni (0.608, 0.256, 0.482)
Ni (0.613, 0.063, 0.680)
Ni (0.621, 0.861, 0.876)
Ni (0.647, 0.640, 0.074)
O (0.098, 0.276, 0.484)
O (0.112, 0.457, 0.284)
O (0.113, 0.063, 0.680)
O (0.130, 0.843, 0.873)
O (0.160, 0.618, 0.069)
O (0.441, 0.386, 0.704)
O (0.447, 0.566, 0.510)
O (0.449, 0.171, 0.912)
O (0.477, 0.948, 0.108)
O (0.580, 0.410, 0.380)
O (0.602, 0.176, 0.584)
O (0.620, 0.955, 0.776)
O (0.649, 0.072, 0.254)
O (0.649, 0.723, 0.970)
O (0.660, 0.503, 0.180)
O (0.778, 0.559, 0.841)
O (0.779, 0.943, 0.455)
O (0.787, 0.739, 0.653)
O (0.798, 0.900, 0.307)
O (0.816, 0.325, 0.054)

# CuNiO2
Calculated powder diffractogram, copper Kα. Input: DFT lattice parameters and positions (PBE+U).
Peak positions follow from Bragg's law for the DFT cell and can differ from measured ones.

Top 12 peaks for 2θ from 10° to 80°, by intensity:
- 41.54°, I = 100
- 36.95°, I = 53
- 44.74°, I = 40
- 36.36°, I = 29
- 36.51°, I = 28
- 62.78°, I = 26
- 62.59°, I = 25
- 59.49°, I = 15
- 60.90°, I = 14
- 77.26°, I = 12
- 78.65°, I = 12
- 72.03°, I = 8

Lattice parameters (Å, degrees): 2.976 2.976 5.096 102.87 102.87 61.48
Atoms (fractional coordinates):
Cu (0.000, 0.000, 0.000)
Ni (0.500, 0.500, 0.500)
O (0.225, 0.225, 0.739)
O (0.775, 0.775, 0.261)

# CuNi3O4
Calculated powder diffractogram, copper Kα. Input: DFT lattice parameters and positions (PBE+U).
Peak positions follow from Bragg's law for the DFT cell and can differ from measured ones.

Top 8 peaks for 2θ from 10° to 80°, by intensity:
- 42.77°, I = 100
- 36.81°, I = 76
- 62.02°, I = 29
- 62.15°, I = 29
- 74.44°, I = 22
- 78.39°, I = 13
- 74.30°, I = 7
- 78.15°, I = 5

Lattice parameters (Å, degrees): 9.935 9.935 9.935 17.29 17.29 17.29
Atoms (fractional coordinates):
Cu (0.000, 0.000, 0.000)
Ni (0.250, 0.250, 0.250)
Ni (0.500, 0.500, 0.500)
Ni (0.750, 0.750, 0.750)
O (0.125, 0.125, 0.125)
O (0.376, 0.376, 0.376)
O (0.624, 0.624, 0.624)
O (0.875, 0.875, 0.875)

# CuNi9O10
Calculated powder diffractogram, copper Kα. Input: DFT lattice parameters and positions (PBE+U).
Peak positions follow from Bragg's law for the DFT cell and can differ from measured ones.

Top 12 peaks for 2θ from 10° to 80°, by intensity:
- 36.95°, I = 100
- 42.53°, I = 45
- 43.00°, I = 44
- 43.26°, I = 43
- 62.08°, I = 26
- 78.61°, I = 18
- 62.19°, I = 13
- 62.36°, I = 13
- 62.58°, I = 12
- 62.69°, I = 12
- 74.12°, I = 10
- 74.79°, I = 10

Lattice parameters (Å, degrees): 5.148 5.957 6.645 102.63 97.61 106.02
Atoms (fractional coordinates):
Cu (0.000, 0.000, 0.000)
Ni (0.000, 0.500, 0.000)
Ni (0.200, 0.900, 0.400)
Ni (0.201, 0.400, 0.399)
Ni (0.397, 0.297, 0.800)
Ni (0.401, 0.798, 0.800)
Ni (0.599, 0.202, 0.200)
Ni (0.603, 0.703, 0.200)
Ni (0.799, 0.600, 0.601)
Ni (0.800, 0.100, 0.600)
O (0.098, 0.449, 0.700)
O (0.102, 0.950, 0.698)
O (0.296, 0.853, 0.098)
O (0.313, 0.367, 0.106)
O (0.499, 0.249, 0.499)
O (0.501, 0.751, 0.501)
O (0.687, 0.633, 0.894)
O (0.704, 0.147, 0.902)
O (0.898, 0.050, 0.302)
O (0.902, 0.551, 0.300)

# Cu2Ni11O13
Calculated powder diffractogram, copper Kα. Input: DFT lattice parameters and positions (PBE+U).
Peak positions follow from Bragg's law for the DFT cell and can differ from measured ones.

Top 8 peaks for 2θ from 10° to 80°, by intensity:
- 36.99°, I = 100
- 42.93°, I = 88
- 62.45°, I = 50
- 43.08°, I = 44
- 74.75°, I = 25
- 62.33°, I = 25
- 78.77°, I = 24
- 74.96°, I = 13

Lattice parameters (Å, degrees): 19.530 19.530 19.530 171.25 167.66 15.15
Atoms (fractional coordinates):
Cu (0.039, 0.039, 0.000)
Cu (0.961, 0.961, 0.000)
Ni (0.116, 0.116, 0.000)
Ni (0.193, 0.193, 0.000)
Ni (0.269, 0.269, 0.000)
Ni (0.346, 0.346, 0.000)
Ni (0.423, 0.423, 0.000)
Ni (0.500, 0.500, 0.000)
Ni (0.577, 0.577, 0.000)
Ni (0.654, 0.654, 0.000)
Ni (0.731, 0.731, 0.000)
Ni (0.807, 0.807, 0.000)
Ni (0.884, 0.884, 0.000)
O (0.000, 0.500, 0.500)
O (0.079, 0.579, 0.500)
O (0.154, 0.654, 0.500)
O (0.231, 0.731, 0.500)
O (0.308, 0.808, 0.500)
O (0.385, 0.885, 0.500)
O (0.462, 0.962, 0.500)
O (0.538, 0.038, 0.500)
O (0.615, 0.115, 0.500)
O (0.692, 0.192, 0.500)
O (0.769, 0.269, 0.500)
O (0.846, 0.346, 0.500)
O (0.921, 0.421, 0.500)

# Cu2NiO4
Calculated powder diffractogram, copper Kα. Input: DFT lattice parameters and positions (PBE+U).
Peak positions follow from Bragg's law for the DFT cell and can differ from measured ones.

Top 12 peaks for 2θ from 10° to 80°, by intensity:
- 38.92°, I = 100
- 38.43°, I = 68
- 31.99°, I = 65
- 62.03°, I = 41
- 49.26°, I = 28
- 29.86°, I = 25
- 63.74°, I = 20
- 59.17°, I = 18
- 57.88°, I = 13
- 66.89°, I = 13
- 78.95°, I = 12
- 70.80°, I = 12

Lattice parameters (Å, degrees): 6.204 6.204 6.204 129.19 129.19 74.70
Atoms (fractional coordinates):
Cu (0.000, 0.000, 0.000)
Cu (0.500, 0.000, 0.000)
Cu (0.500, 0.000, 0.500)
Cu (0.500, 0.500, 0.500)
Ni (0.125, 0.375, 0.750)
Ni (0.875, 0.625, 0.250)
O (0.111, 0.974, 0.768)
O (0.157, 0.389, 0.363)
O (0.294, 0.657, 0.268)
O (0.474, 0.206, 0.863)
O (0.526, 0.794, 0.137)
O (0.706, 0.343, 0.732)
O (0.843, 0.611, 0.637)
O (0.889, 0.026, 0.232)

# CuNiO2
Calculated powder diffractogram, copper Kα. Input: DFT lattice parameters and positions (PBE+U).
Peak positions follow from Bragg's law for the DFT cell and can differ from measured ones.

Top 12 peaks for 2θ from 10° to 80°, by intensity:
- 44.90°, I = 100
- 37.28°, I = 76
- 36.48°, I = 74
- 58.68°, I = 38
- 37.42°, I = 37
- 35.90°, I = 37
- 60.78°, I = 30
- 77.54°, I = 23
- 66.71°, I = 17
- 65.12°, I = 14
- 65.62°, I = 13
- 78.41°, I = 9

Lattice parameters (Å, degrees): 3.097 3.097 5.697 115.09 115.09 55.09
Atoms (fractional coordinates):
Cu (0.000, 0.000, 0.000)
Ni (0.000, 0.000, 0.500)
O (0.429, 0.429, 0.731)
O (0.571, 0.571, 0.269)

# CuNi2O4
Calculated powder diffractogram, copper Kα. Input: DFT lattice parameters and positions (PBE+U).
Peak positions follow from Bragg's law for the DFT cell and can differ from measured ones.

Top 12 peaks for 2θ from 10° to 80°, by intensity:
- 36.06°, I = 100
- 63.73°, I = 42
- 58.02°, I = 35
- 30.61°, I = 31
- 43.84°, I = 17
- 54.42°, I = 11
- 37.73°, I = 10
- 75.47°, I = 10
- 18.61°, I = 8
- 76.50°, I = 5
- 72.35°, I = 4
- 67.03°, I = 1

Lattice parameters (Å, degrees): 5.841 5.841 5.841 60.00 60.00 60.00
Atoms (fractional coordinates):
Cu (0.125, 0.125, 0.125)
Cu (0.875, 0.875, 0.875)
Ni (0.000, 0.500, 0.500)
Ni (0.500, 0.000, 0.500)
Ni (0.500, 0.500, 0.000)
Ni (0.500, 0.500, 0.500)
O (0.259, 0.259, 0.259)
O (0.259, 0.259, 0.722)
O (0.259, 0.722, 0.259)
O (0.278, 0.741, 0.741)
O (0.722, 0.259, 0.259)
O (0.741, 0.278, 0.741)
O (0.741, 0.741, 0.278)
O (0.741, 0.741, 0.741)

# Cu2NiO4
Calculated powder diffractogram, copper Kα. Input: DFT lattice parameters and positions (PBE+U).
Peak positions follow from Bragg's law for the DFT cell and can differ from measured ones.

Top 12 peaks for 2θ from 10° to 80°, by intensity:
- 38.03°, I = 100
- 32.41°, I = 42
- 38.96°, I = 31
- 38.46°, I = 19
- 50.03°, I = 18
- 67.85°, I = 16
- 39.29°, I = 16
- 18.96°, I = 15
- 61.12°, I = 15
- 62.88°, I = 13
- 59.21°, I = 12
- 44.62°, I = 12

Lattice parameters (Å, degrees): 6.112 6.112 5.353 114.80 114.80 104.71
Atoms (fractional coordinates):
Cu (0.000, 0.000, 0.000)
Cu (0.000, 0.000, 0.500)
Cu (0.000, 0.500, 0.000)
Cu (0.500, 0.000, 0.500)
Ni (0.417, 0.583, 0.750)
Ni (0.583, 0.417, 0.250)
O (0.014, 0.340, 0.634)
O (0.220, 0.383, 0.223)
O (0.340, 0.014, 0.134)
O (0.383, 0.220, 0.723)
O (0.617, 0.780, 0.277)
O (0.660, 0.986, 0.866)
O (0.780, 0.617, 0.777)
O (0.986, 0.660, 0.366)

# CuNi3O4
Calculated powder diffractogram, copper Kα. Input: DFT lattice parameters and positions (PBE+U).
Peak positions follow from Bragg's law for the DFT cell and can differ from measured ones.

Top 9 peaks for 2θ from 10° to 80°, by intensity:
- 36.74°, I = 100
- 43.67°, I = 80
- 61.19°, I = 50
- 40.67°, I = 49
- 75.64°, I = 24
- 63.47°, I = 23
- 78.16°, I = 23
- 71.44°, I = 15
- 33.94°, I = 1

Lattice parameters (Å, degrees): 5.318 5.318 2.932 90.00 90.00 113.10
Atoms (fractional coordinates):
Cu (0.000, 0.000, 0.000)
Ni (0.000, 0.500, 0.500)
Ni (0.500, 0.000, 0.500)
Ni (0.500, 0.500, 0.000)
O (0.237, 0.237, 0.500)
O (0.272, 0.728, 0.000)
O (0.728, 0.272, 0.000)
O (0.763, 0.763, 0.500)

# CuNiO2
Calculated powder diffractogram, copper Kα. Input: DFT lattice parameters and positions (PBE+U).
Peak positions follow from Bragg's law for the DFT cell and can differ from measured ones.

Top 6 peaks for 2θ from 10° to 80°, by intensity:
- 42.81°, I = 100
- 36.85°, I = 78
- 62.15°, I = 58
- 74.49°, I = 30
- 78.45°, I = 13
- 78.33°, I = 4

Lattice parameters (Å, degrees): 5.178 5.178 5.178 33.52 33.52 33.52
Atoms (fractional coordinates):
Cu (0.000, 0.000, 0.000)
Ni (0.500, 0.500, 0.500)
O (0.247, 0.247, 0.247)
O (0.753, 0.753, 0.753)